Diffraction record for TbMgZn10. The PXRD pattern is calculated, not measured: it uses a cell relaxed with GGA-PBE and a wavelength of 1.5418 Å.
Peak positions follow from Bragg's law for the DFT cell and can differ from measured ones.

Lattice parameters (Å, degrees): 4.270 5.210 9.150 90.00 90.00 90.00
Element x y z (fractional)
Tb: 0.000 0.000 0.000
Mg: 0.000 0.500 0.500
Zn: 0.000 0.000 0.344
Zn: 0.000 0.000 0.656
Zn: 0.000 0.500 0.183
Zn: 0.000 0.500 0.817
Zn: 0.500 0.000 0.500
Zn: 0.500 0.243 0.242
Zn: 0.500 0.243 0.758
Zn: 0.500 0.500 0.000
Zn: 0.500 0.757 0.242
Zn: 0.500 0.757 0.758

Principal peaks in the range 2θ = 10–90°, sorted by position:
| Position (°2θ) | Rel. int. |
| --- | --- |
| 28.74 | 24 |
| 39.82 | 30 |
| 40.25 | 100 |
| 40.57 | 50 |
| 42.34 | 48 |
| 45.34 | 29 |



Diffraction record for TbMg11Zn. The PXRD pattern is calculated, not measured: it uses a cell relaxed with GGA-PBE and a wavelength of 1.5418 Å.
Peak positions follow from Bragg's law for the DFT cell and can differ from measured ones.

Lattice parameters (Å, degrees): 7.715 7.715 7.634 97.96 97.96 135.38
Element x y z (fractional)
Tb: 0.000 0.000 0.000
Mg: 0.000 0.000 0.500
Mg: 0.000 0.500 0.000
Mg: 0.008 0.352 0.355
Mg: 0.296 0.504 0.783
Mg: 0.352 0.008 0.355
Mg: 0.496 0.704 0.217
Mg: 0.500 0.000 0.000
Mg: 0.504 0.296 0.783
Mg: 0.648 0.992 0.645
Mg: 0.704 0.496 0.217
Mg: 0.992 0.648 0.645
Zn: 0.500 0.500 0.500

Principal peaks in the range 2θ = 10–90°, sorted by position:
| Position (°2θ) | Rel. int. |
| --- | --- |
| 12.41 | 56 |
| 17.63 | 44 |
| 24.98 | 34 |
| 30.51 | 43 |
| 35.24 | 34 |
| 35.65 | 100 |



Diffraction record for Mg2Tc3. The PXRD pattern is calculated, not measured: it uses a cell relaxed with GGA-PBE and a wavelength of 1.5418 Å.
Peak positions follow from Bragg's law for the DFT cell and can differ from measured ones.

Lattice parameters (Å, degrees): 11.684 11.684 11.684 13.86 13.86 13.86
Element x y z (fractional)
Mg: 0.099 0.099 0.099
Mg: 0.901 0.901 0.901
Tc: 0.304 0.304 0.304
Tc: 0.500 0.500 0.500
Tc: 0.696 0.696 0.696

Principal peaks in the range 2θ = 10–90°, sorted by position:
| Position (°2θ) | Rel. int. |
| --- | --- |
| 15.32 | 65 |
| 38.92 | 31 |
| 39.10 | 100 |
| 45.41 | 63 |
| 66.29 | 20 |
| 79.62 | 21 |



What did the first record say?
Diffraction record for TbMgZn10. The PXRD pattern is calculated, not measured: it uses a cell relaxed with GGA-PBE and a wavelength of 1.5418 Å.
Peak positions follow from Bragg's law for the DFT cell and can differ from measured ones.

Lattice parameters (Å, degrees): 4.270 5.210 9.150 90.00 90.00 90.00
Element x y z (fractional)
Tb: 0.000 0.000 0.000
Mg: 0.000 0.500 0.500
Zn: 0.000 0.000 0.344
Zn: 0.000 0.000 0.656
Zn: 0.000 0.500 0.183
Zn: 0.000 0.500 0.817
Zn: 0.500 0.000 0.500
Zn: 0.500 0.243 0.242
Zn: 0.500 0.243 0.758
Zn: 0.500 0.500 0.000
Zn: 0.500 0.757 0.242
Zn: 0.500 0.757 0.758

Principal peaks in the range 2θ = 10–90°, sorted by position:
| Position (°2θ) | Rel. int. |
| --- | --- |
| 28.74 | 24 |
| 39.82 | 30 |
| 40.25 | 100 |
| 40.57 | 50 |
| 42.34 | 48 |
| 45.34 | 29 |



> What is the formula in the second record?

TbMg11Zn